Starting from a structure optimized by DFT (GGA-PBE), the PXRD pattern of NaPaTiS4 was computed for Cu Kα X-rays.

Top 10 peaks for 2θ = 5–70°, sorted by position:
2θ/deg, I (rel.)
14.56, 100
16.82, 20
25.79, 59
28.08, 30
32.12, 44
34.02, 21
35.43, 19
43.16, 30
47.49, 35
49.93, 22

```
14
Lattice="-3.726 4.197 5.270 3.726 -4.197 5.270 3.726 4.197 -5.270" Properties=species:S:1:pos:R:3 pbc="T T T"
Na 0.000 2.099 1.667
Na 3.726 2.099 3.603
Pa 3.726 0.000 0.000
Pa 0.000 0.000 5.270
Ti 1.863 2.099 -2.635
Ti 1.863 -2.099 2.635
S 3.726 3.807 -2.647
S 3.726 -0.390 2.647
S 2.009 2.099 -0.101
S 5.442 2.099 -0.101
S -1.716 2.099 5.371
S 1.716 2.099 5.371
S 0.000 4.587 2.623
S 0.000 0.390 7.917
```